[1]
Calculated X-ray diffraction stick pattern
Compound: Ho5Er2Th2
Radiation: Cu Ka
Structure: the GGA-PBE geometry in Alexandria
Neutral-atom scattering factors, no anomalous dispersion.

Most intense lines, 10° ≤ 2θ ≤ 90°, sorted by position:
d/Å  Rel. int.
3.303  51
2.902  82
2.855  85
2.834  100
2.807  72
2.797  32
2.713  27
2.541  25
1.907  28
1.641  25

Crystal structure
```
18
Lattice="8.2345 -3.3046 0.0000 8.2345 3.3046 0.0000 -5.3989 0.0000 10.5035" Properties=species:S:1:pos:R:3 pbc="T T T"
Ho -0.8802 0.0000 3.2428
Ho -2.1163 -0.9638 9.7392
Ho 3.4168 0.3405 7.3361
Ho 1.7065 -1.1477 5.3584
Ho 7.6533 0.3405 3.1674
Ho 5.5800 -0.9601 1.5215
Ho 5.4902 -0.9601 8.9820
Ho 9.3636 -1.1477 5.1451
Ho 11.9503 0.0000 7.2607
Ho 13.1864 -0.9638 0.7643
Er 4.2877 1.5395 4.0428
Er 6.7824 1.5395 6.4607
Er 1.2714 -2.1144 9.0469
Er 9.7987 -2.1144 1.4566
Th 0.2388 1.0695 8.1367
Th 8.2345 1.3936 0.0000
Th 10.8313 1.0695 2.3668
Th 5.5351 -1.5310 5.2518
```

***

[2]
Calculated X-ray diffraction stick pattern
Compound: RbOsPb2O8
Radiation: Cu Ka
Structure: the GGA-PBE geometry in Alexandria
Neutral-atom scattering factors, no anomalous dispersion.

Most intense lines, 10° ≤ 2θ ≤ 90°, sorted by position:
d/Å  Rel. int.
7.041  100
4.060  35
3.629  79
3.262  53
3.089  29
3.018  32
2.789  27
2.563  24
2.539  37
2.063  23

Crystal structure
```
12
Lattice="5.3773 0.0000 0.0000 -1.6103 5.5949 0.0000 -1.8894 -0.5556 7.0410" Properties=species:S:1:pos:R:3 pbc="T T T"
Rb 0.0000 0.0000 0.0000
Os 1.7440 -0.2778 3.5205
Pb -0.3924 2.0777 4.6330
Pb 2.2700 2.9616 2.4080
O -2.0896 2.4732 6.9866
O -1.0929 3.8510 3.1968
O 0.5703 1.0678 2.7626
O 0.9667 -0.0071 5.1587
O 0.9109 5.0464 1.8823
O 1.3073 3.9716 4.2784
O 2.9706 1.1883 3.8442
O 3.9672 2.5661 0.0544
```

***

[3]
Calculated X-ray diffraction stick pattern
Compound: InTcS
Radiation: Cu Ka
Structure: the GGA-PBE geometry in Alexandria
Neutral-atom scattering factors, no anomalous dispersion.

Most intense lines, 10° ≤ 2θ ≤ 90°, sorted by position:
d/Å  Rel. int.
6.391  100
4.375  49
2.722  87
2.706  57
2.450  49
2.442  49
2.287  71
2.199  47
2.184  87
2.180  64

Crystal structure
```
6
Lattice="3.0818 0.0000 0.0000 1.5223 6.0312 0.0000 0.0076 0.0332 6.3913" Properties=species:S:1:pos:R:3 pbc="T T T"
In 0.7716 2.6626 1.8163
In 3.8402 3.4018 4.5750
Tc 2.2931 4.8864 0.0318
Tc 2.3187 1.1780 6.3595
S 0.7791 0.4941 4.7424
S 3.8326 5.5703 1.6489
```

***

[4]
Calculated X-ray diffraction stick pattern
Compound: Tm8FeHg2
Radiation: Cu Ka
Structure: the GGA-PBE geometry in Alexandria
Neutral-atom scattering factors, no anomalous dispersion.

Most intense lines, 10° ≤ 2θ ≤ 90°, sorted by position:
d/Å  Rel. int.
3.043  28
2.943  49
2.833  29
2.815  24
2.766  50
2.746  100
2.615  98
2.562  82
2.454  53
1.308  23

Crystal structure
```
11
Lattice="8.5651 -2.6154 0.0000 8.5651 2.6154 0.0000 -2.2687 0.0000 6.3598" Properties=species:S:1:pos:R:3 pbc="T T T"
Tm -0.2871 0.0000 1.8447
Tm 1.5986 0.0000 5.0233
Tm 4.7514 0.0000 3.4941
Tm 6.8317 0.0000 0.5352
Tm 8.0298 0.0000 5.8245
Tm 10.1102 0.0000 2.8657
Tm 13.2629 0.0000 1.3364
Tm 15.1487 0.0000 4.5150
Fe 7.4308 0.0000 3.1799
Hg 2.6664 0.0000 1.3370
Hg 12.1951 0.0000 5.0228
```

***

[5]
Calculated X-ray diffraction stick pattern
Compound: Na12HgAu6
Radiation: Cu Ka
Structure: the GGA-PBE geometry in Alexandria
Neutral-atom scattering factors, no anomalous dispersion.

Most intense lines, 10° ≤ 2θ ≤ 90°, sorted by position:
d/Å  Rel. int.
7.139  15
5.048  80
3.193  36
2.698  100
2.380  25
1.980  59
1.683  19
1.558  18
1.282  16
1.174  20

Crystal structure
```
19
Lattice="-5.0480 5.0480 5.0480 5.0480 -5.0480 5.0480 5.0480 5.0480 -5.0480" Properties=species:S:1:pos:R:3 pbc="T T T"
Na 5.0480 -2.1390 3.2645
Na 2.9090 1.7835 0.0000
Na 7.1870 1.7835 0.0000
Na 3.2645 5.0480 -2.1390
Na 1.7835 0.0000 2.9090
Na 0.0000 2.9090 1.7835
Na 5.0480 2.1390 3.2645
Na 3.2645 5.0480 2.1390
Na 1.7835 0.0000 7.1870
Na -2.1390 3.2645 5.0480
Na 2.1390 3.2645 5.0480
Na 0.0000 7.1870 1.7835
Hg 0.0000 0.0000 0.0000
Au 5.0480 0.0000 1.3828
Au 5.0480 3.6652 0.0000
Au 1.3828 5.0480 0.0000
Au 3.6652 0.0000 5.0480
Au 0.0000 1.3828 5.0480
Au 0.0000 5.0480 3.6652
```

***

[6]
Calculated X-ray diffraction stick pattern
Compound: ErNpTl
Radiation: Cu Ka
Structure: the GGA-PBE geometry in Alexandria
Neutral-atom scattering factors, no anomalous dispersion.

Most intense lines, 10° ≤ 2θ ≤ 90°, sorted by position:
d/Å  Rel. int.
7.171  20
2.998  56
2.868  18
2.783  42
2.440  100
1.802  41
1.657  31
1.526  17
1.450  20
1.129  19

Crystal structure
```
6
Lattice="1.8021 1.0404 14.3418 -1.8021 1.0404 14.3418 0.0000 -2.0809 14.3418" Properties=species:S:1:pos:R:3 pbc="T T T"
Er 0.0000 0.0000 3.9306
Er 0.0000 0.0000 39.0948
Np 0.0000 0.0000 7.7851
Np 0.0000 0.0000 35.2404
Tl 0.0000 0.0000 15.6055
Tl 0.0000 0.0000 27.4200
```

***

Repeat the fifth record exactly.
Calculated X-ray diffraction stick pattern
Compound: Na12HgAu6
Radiation: Cu Ka
Structure: the GGA-PBE geometry in Alexandria
Neutral-atom scattering factors, no anomalous dispersion.

Most intense lines, 10° ≤ 2θ ≤ 90°, sorted by position:
d/Å  Rel. int.
7.139  15
5.048  80
3.193  36
2.698  100
2.380  25
1.980  59
1.683  19
1.558  18
1.282  16
1.174  20

Crystal structure
```
19
Lattice="-5.0480 5.0480 5.0480 5.0480 -5.0480 5.0480 5.0480 5.0480 -5.0480" Properties=species:S:1:pos:R:3 pbc="T T T"
Na 5.0480 -2.1390 3.2645
Na 2.9090 1.7835 0.0000
Na 7.1870 1.7835 0.0000
Na 3.2645 5.0480 -2.1390
Na 1.7835 0.0000 2.9090
Na 0.0000 2.9090 1.7835
Na 5.0480 2.1390 3.2645
Na 3.2645 5.0480 2.1390
Na 1.7835 0.0000 7.1870
Na -2.1390 3.2645 5.0480
Na 2.1390 3.2645 5.0480
Na 0.0000 7.1870 1.7835
Hg 0.0000 0.0000 0.0000
Au 5.0480 0.0000 1.3828
Au 5.0480 3.6652 0.0000
Au 1.3828 5.0480 0.0000
Au 3.6652 0.0000 5.0480
Au 0.0000 1.3828 5.0480
Au 0.0000 5.0480 3.6652
```